# Mg3Ti
Theoretical XRD peak list, Cu Kα X-rays. Input: the PBE geometry in the Materials Project.

Cell and atoms:
```
4
Lattice="-2.201 2.201 4.378 2.201 -2.201 4.378 2.201 2.201 -4.378" Properties=species:S:1:pos:R:3 pbc="T T T"
Mg 0.000 0.000 0.000
Mg 2.201 0.000 2.189
Mg 0.000 2.201 2.189
Ti 0.000 0.000 4.378
```

Most intense lines, 2θ = 10–90°, by angle:
2theta  Rel. int.
20.29  3
22.61  10
28.68  3
35.38  100
41.01  32
41.25  16
59.39  10
59.57  20
71.06  23
71.39  11
74.86  10
88.94  3